This entry pairs a crystal structure of Li5Fe8B8O24 with its computed powder diffractogram. Radiation: Cu Ka. Structure: a DFT-relaxed cell (GGA+U, the Materials Project).
Kinematic intensities with the Lorentz-polarization factor, no thermal factor.

Main lines, by angle (10° ≤ 2θ ≤ 80°):
| 2θ (°) | d (Å) | I_rel |
| --- | --- | --- |
| 19.53 | 4.545 | 93.0 |
| 21.48 | 4.137 | 100.0 |
| 26.21 | 3.400 | 59.1 |
| 26.45 | 3.370 | 38.6 |
| 34.15 | 2.625 | 84.8 |
| 35.43 | 2.533 | 87.4 |
| 38.44 | 2.342 | 24.2 |
| 40.64 | 2.220 | 37.7 |
| 53.98 | 1.699 | 26.6 |
| 61.17 | 1.515 | 25.1 |

Structure:
```
Li5Fe8B8O24
1.0
5.256 0.000 0.000
0.014 9.086 0.000
2.530 4.492 10.133
Li Fe B O
5 8 8 24
Direct
0.000 0.000 0.000
0.069 0.402 0.241
0.252 0.279 0.503
0.509 0.505 0.999
0.748 0.772 0.503
0.027 0.689 0.962
0.079 0.069 0.217
0.277 0.627 0.467
0.327 0.986 0.720
0.526 0.184 0.966
0.585 0.584 0.216
0.767 0.125 0.467
0.831 0.485 0.718
0.028 0.359 0.969
0.084 0.738 0.213
0.277 0.954 0.465
0.330 0.326 0.713
0.533 0.862 0.961
0.569 0.243 0.212
0.777 0.450 0.466
0.829 0.826 0.711
0.042 0.973 0.419
0.051 0.825 0.757
0.112 0.203 0.010
0.163 0.480 0.977
0.199 0.464 0.680
0.238 0.196 0.697
0.293 0.699 0.268
0.294 0.888 0.919
0.358 0.068 0.507
0.417 0.828 0.469
0.452 0.131 0.180
0.454 0.379 0.203
0.536 0.462 0.436
0.550 0.322 0.761
0.618 0.709 0.998
0.670 0.986 0.965
0.698 0.965 0.674
0.739 0.695 0.696
0.796 0.385 0.923
0.810 0.214 0.250
0.865 0.557 0.513
0.934 0.335 0.446
0.975 0.629 0.175
0.982 0.884 0.192
```